Entry 1:
# Tl4PbCl6
Computed XRD peak list, Cu Kα (λ = 1.5418 Å). Input: a PBE-relaxed structure.
Intensities are scaled so that the largest is 100.

Structural model:
```
data_Tl4PbCl6
_symmetry_space_group_name_H-M 'R -3 c'
_symmetry_Int_Tables_number 167
_symmetry_space_group_name_Hall '-R 3 2"c'
_cell_length_a 12.7776
_cell_length_b 12.7776
_cell_length_c 15.5426
_cell_angle_alpha 90.00
_cell_angle_beta 90.00
_cell_angle_gamma 120.00
loop_
_atom_site_label
_atom_site_type_symbol
_atom_site_fract_x
_atom_site_fract_y
_atom_site_fract_z
Tl1 Tl 0.0000 0.0000 0.2500
Tl2 Tl 0.0000 0.3620 0.2500
Pb1 Pb 0.0000 0.0000 0.0000
Cl1 Cl 0.0357 0.1999 0.3923
```

Main lines, in order of falling intensity (15° ≤ 2θ ≤ 90°):
- 3.689 Å, I 100.0, hkl 3 0 0
- 4.024 Å, I 62.8, hkl 1 1 3
- 2.127 Å, I 48.1, hkl 3 3 0
- 2.719 Å, I 43.0, hkl 2 2 3
- 2.848 Å, I 41.2, hkl 2 1 4
- 3.180 Å, I 26.6, hkl 0 2 4
- 2.188 Å, I 22.7, hkl 1 4 3
- 1.844 Å, I 18.5, hkl 6 0 0

Entry 2:
# TlPb4Cl8
Computed XRD peak list, Cu Kα (λ = 1.5418 Å). Input: a PBE-relaxed structure.
Intensities are scaled so that the largest is 100.

Structural model:
```
data_TlPb4Cl8
_symmetry_space_group_name_H-M 'F -4 3 m'
_symmetry_Int_Tables_number 216
_symmetry_space_group_name_Hall 'F -4 2 3'
_cell_length_a 12.7144
_cell_length_b 12.7144
_cell_length_c 12.7144
_cell_angle_alpha 90.00
_cell_angle_beta 90.00
_cell_angle_gamma 90.00
loop_
_atom_site_label
_atom_site_type_symbol
_atom_site_fract_x
_atom_site_fract_y
_atom_site_fract_z
Tl1 Tl 0.0000 0.0000 0.0000
Pb1 Pb 0.1223 0.1223 0.3777
Cl1 Cl 0.1078 0.1078 0.6078
Cl2 Cl 0.1415 0.1415 0.1415
```

Main lines, in order of falling intensity (15° ≤ 2θ ≤ 90°):
- 3.834 Å, I 100.0, hkl 3 1 1
- 2.248 Å, I 63.8, hkl 4 4 0
- 2.447 Å, I 54.2, hkl 5 1 1
- 3.179 Å, I 41.5, hkl 4 0 0
- 3.670 Å, I 31.9, hkl 2 2 2
- 1.655 Å, I 27.0, hkl 5 5 3
- 1.917 Å, I 21.4, hkl 6 2 2
- 1.298 Å, I 19.4, hkl 8 4 4